Diffraction record for Tb7Pr12Y. The XRD peak list is simulated, not measured: it uses the GGA-PBE geometry in Alexandria and Cu Kα, 1.54184 Å.

The 10 most intense peaks (2θ = 10–90°), sorted by position:
2θ 27.1, 3.293 Å, I 39
2θ 28.8, 3.104 Å, I 27
2θ 29.7, 3.009 Å, I 100
2θ 30.2, 2.961 Å, I 38
2θ 32.4, 2.763 Å, I 37
2θ 32.7, 2.740 Å, I 38
2θ 38.8, 2.320 Å, I 35
2θ 39.5, 2.280 Å, I 24
2θ 45.9, 1.976 Å, I 26
2θ 47.0, 1.933 Å, I 22

Atomic structure:
```
Tb7Pr12Y
1.0
9.8795 5.7039 2.1041
-9.8795 5.7039 2.1041
0.0000 -11.4078 2.1041
Tb Pr Y
7 12 1
Direct
0.0000 0.0000 0.0000 Tb
0.1299 0.3759 0.3759 Tb
0.3759 0.1299 0.3759 Tb
0.3759 0.3759 0.1299 Tb
0.6241 0.6241 0.8701 Tb
0.6241 0.8701 0.6241 Tb
0.8701 0.6241 0.6241 Tb
0.0000 0.4116 0.5884 Pr
0.0000 0.5884 0.4116 Pr
0.0829 0.0829 0.4359 Pr
0.0829 0.4359 0.0829 Pr
0.4116 0.0000 0.5884 Pr
0.4116 0.5884 0.0000 Pr
0.4359 0.0829 0.0829 Pr
0.5641 0.9171 0.9171 Pr
0.5884 0.0000 0.4116 Pr
0.5884 0.4116 0.0000 Pr
0.9171 0.5641 0.9171 Pr
0.9171 0.9171 0.5641 Pr
0.5000 0.5000 0.5000 Y
```


Diffraction record for CaIn3Pb3. The XRD peak list is simulated, not measured: it uses the GGA-PBE geometry in Alexandria and Cu Kα, 1.54184 Å.

The 10 most intense peaks (2θ = 10–90°), sorted by position:
2θ 15.1, 5.852 Å, I 100
2θ 21.5, 4.138 Å, I 40
2θ 24.0, 3.701 Å, I 26
2θ 26.4, 3.378 Å, I 97
2θ 34.3, 2.617 Å, I 29
2θ 37.7, 2.389 Å, I 82
2θ 40.8, 2.212 Å, I 61
2θ 43.8, 2.069 Å, I 48
2θ 63.6, 1.463 Å, I 31
2θ 76.3, 1.248 Å, I 32

Atomic structure:
```
CaIn3Pb3
1.0
8.2755 0.0000 0.0000
0.0000 8.2755 0.0000
0.0000 0.0000 8.2755
Ca In Pb
2 6 6
Direct
0.0000 0.0000 0.0000 Ca
0.5000 0.5000 0.5000 Ca
0.0000 0.2500 0.5000 In
0.0000 0.7500 0.5000 In
0.2500 0.5000 0.0000 In
0.5000 0.0000 0.2500 In
0.5000 0.0000 0.7500 In
0.7500 0.5000 0.0000 In
0.0000 0.5000 0.2500 Pb
0.0000 0.5000 0.7500 Pb
0.2500 0.0000 0.5000 Pb
0.5000 0.2500 0.0000 Pb
0.5000 0.7500 0.0000 Pb
0.7500 0.0000 0.5000 Pb
```


Diffraction record for Pm2SiAs. The XRD peak list is simulated, not measured: it uses the GGA-PBE geometry in Alexandria and Cu Kα, 1.54184 Å.

The 10 most intense peaks (2θ = 10–90°), sorted by position:
2θ 26.8, 3.324 Å, I 35
2θ 28.1, 3.179 Å, I 17
2θ 30.4, 2.937 Å, I 100
2θ 30.7, 2.915 Å, I 47
2θ 40.8, 2.213 Å, I 47
2θ 41.6, 2.172 Å, I 23
2θ 44.8, 2.023 Å, I 20
2θ 46.6, 1.950 Å, I 27
2θ 52.5, 1.742 Å, I 20
2θ 55.3, 1.662 Å, I 18

Atomic structure:
```
Pm2SiAs
1.0
2.1718 -11.6618 0.0000
2.1718 11.6618 0.0000
0.0000 0.0000 4.0460
Pm Si As
4 2 2
Direct
0.0651 0.9349 0.7500 Pm
0.3139 0.6861 0.7500 Pm
0.6861 0.3139 0.2500 Pm
0.9349 0.0651 0.2500 Pm
0.4657 0.5343 0.7500 Si
0.5343 0.4657 0.2500 Si
0.1880 0.8120 0.7500 As
0.8120 0.1880 0.2500 As
```


Diffraction record for Li2Nb4O11. The XRD peak list is simulated, not measured: it uses the GGA-PBE geometry in Alexandria and Cu Kα, 1.54184 Å.

The 10 most intense peaks (2θ = 10–90°), sorted by position:
2θ 11.1, 7.994 Å, I 100
2θ 24.3, 3.666 Å, I 33
2θ 24.5, 3.638 Å, I 14
2θ 24.8, 3.589 Å, I 43
2θ 29.3, 3.052 Å, I 15
2θ 29.5, 3.032 Å, I 49
2θ 31.4, 2.850 Å, I 20
2θ 36.7, 2.451 Å, I 17
2θ 48.1, 1.891 Å, I 13
2θ 58.6, 1.575 Å, I 14

Atomic structure:
```
Li2Nb4O11
1.0
7.9946 -1.8915 0.0000
7.9946 1.8915 0.0000
-7.9152 0.0000 8.2103
Li Nb O
2 4 11
Direct
0.1409 0.1409 0.3527 Li
0.8591 0.8591 0.6473 Li
0.1694 0.1694 0.6834 Nb
0.3862 0.3862 0.1135 Nb
0.6138 0.6138 0.8865 Nb
0.8306 0.8306 0.3166 Nb
0.0000 0.0000 0.5000 O
0.1561 0.1561 0.8892 O
0.2150 0.2150 0.5772 O
0.3393 0.3393 0.9111 O
0.3413 0.3413 0.2663 O
0.4578 0.4578 0.7400 O
0.5422 0.5422 0.2600 O
0.6587 0.6587 0.7337 O
0.6607 0.6607 0.0889 O
0.7850 0.7850 0.4228 O
0.8439 0.8439 0.1108 O
```